Starting from a crystal structure in the Materials Project, relaxed with GGA-PBE, the powder diffractogram of Nd2CuGe2O8 was simulated for Cu Kα, 1.54184 Å.

The 6 most intense peaks (10 to 80 degrees two-theta), in order of rising 2θ:
d 3.255, intensity 100; d 3.203, intensity 95; d 2.863, intensity 89; d 2.657, intensity 95; d 1.938, intensity 46; d 1.916, intensity 44

Cell and atoms:
```
Nd2CuGe2O8
1.0
4.9621 -7.7204 0.0000
4.9621 7.7204 0.0000
-2.6597 0.0000 4.4813
Nd Cu Ge O
4 2 4 16
direct
0.1208 0.8792 0.0000 Nd
0.3814 0.6237 0.4914 Nd
0.6237 0.3814 0.4914 Nd
0.8792 0.1208 0.0000 Nd
0.5061 0.9198 0.1928 Cu
0.9198 0.5061 0.1928 Cu
0.0484 0.4693 0.7344 Ge
0.2469 0.2469 0.7903 Ge
0.4693 0.0484 0.7344 Ge
0.7421 0.7421 0.1898 Ge
0.0758 0.4206 0.0540 O
0.0778 0.0778 0.8241 O
0.1539 0.3381 0.5745 O
0.2036 0.6701 0.7427 O
0.3357 0.8536 0.3737 O
0.3381 0.1539 0.5745 O
0.4109 0.4109 0.1576 O
0.4206 0.0758 0.0540 O
0.5803 0.9275 0.8883 O
0.5813 0.5813 0.8132 O
0.6433 0.8298 0.3912 O
0.6701 0.2036 0.7427 O
0.8298 0.6433 0.3912 O
0.8536 0.3357 0.3737 O
0.9117 0.9117 0.1537 O
0.9275 0.5803 0.8883 O
```